No. 1
Structure and computed powder X-ray diffraction pattern of Ag5Cl4F2 (a structure optimized by DFT (GGA-PBE); CuKα).

The 10 most intense peaks (10° ≤ 2θ ≤ 90°), by angle:
2theta	I (rel.)	index
17.4	100.0	2 0 0
21.7	35.3	2 0 1
22.5	44.0	0 0 2
26.9	31.7	2 0 -2
30.1	47.0	2 0 2
32.2	67.1	2 2 0
35.3	61.9	0 2 2
38.4	73.6	2 2 -2
39.9	23.8	4 0 -2
47.4	28.8	2 0 -4

Crystal structure
```
data_Ag5Cl4F2
_symmetry_space_group_name_H-M 'C 1 m 1'
_symmetry_Int_Tables_number 8
_cell_length_a 10.271
_cell_length_b 6.630
_cell_length_c 7.959
_cell_angle_alpha 90.00
_cell_angle_beta 96.36
_cell_angle_gamma 90.00
loop_
_symmetry_equiv_pos_as_xyz
'x,y,z'
'x,-y,z'
'x+1/2,y+1/2,z'
'x+1/2,-y+1/2,z'
loop_
_atom_site_label
_atom_site_fract_x
_atom_site_fract_y
_atom_site_fract_z
Ag1 0.000 0.000 0.000
Ag2 0.149 0.262 0.808
Ag3 0.194 0.271 0.345
Cl1 0.047 0.500 0.996
Cl2 0.055 0.500 0.504
Cl3 0.232 0.000 0.628
Cl4 0.386 0.500 0.274
F1 0.185 0.000 0.160
F2 0.332 0.500 0.823
```

No. 2
Structure and computed powder X-ray diffraction pattern of BaSm2TmO5 (a structure optimized by DFT (GGA-PBE); CuKα).

The 10 most intense peaks (10° ≤ 2θ ≤ 90°), by angle:
2theta	I (rel.)	index
16.5	9.7	0 1 1
29.6	25.4	0 2 0
30.1	100.0	1 1 2
30.2	17.0	0 0 4
42.8	20.4	0 2 4
43.3	13.7	2 0 0
52.8	21.3	1 3 2
53.3	10.1	2 2 0
53.6	9.8	1 1 6
62.5	12.7	2 2 4

Crystal structure
```
data_BaSm2TmO5
_symmetry_space_group_name_H-M 'I m m m'
_symmetry_Int_Tables_number 71
_symmetry_space_group_name_Hall '-I 2 2'
_cell_length_a 4.179
_cell_length_b 6.041
_cell_length_c 11.826
_cell_angle_alpha 90.00
_cell_angle_beta 90.00
_cell_angle_gamma 90.00
loop_
_atom_site_label
_atom_site_fract_x
_atom_site_fract_y
_atom_site_fract_z
Ba1 0.000 0.000 0.000
Sm1 0.000 0.500 0.217
Tm1 0.000 0.000 0.500
O1 0.000 0.237 0.354
O2 0.000 0.500 0.000
```

No. 3
Structure and computed powder X-ray diffraction pattern of Sm2Y7 (a structure optimized by DFT (GGA-PBE); CuKα).

The 10 most intense peaks (10° ≤ 2θ ≤ 90°), by angle:
2theta	I (rel.)	index
26.9	13.8	1 0 1
30.9	69.4	1 1 1
31.8	100.0	3 0 0
32.7	27.2	2 0 1
37.7	22.5	2 1 1
44.9	20.9	2 2 1
53.7	18.6	3 2 1
56.1	19.2	4 1 1
56.7	15.5	3 3 0
61.1	32.2	3 0 2

Crystal structure
```
data_Sm2Y7
_symmetry_space_group_name_H-M 'P -6 2 m'
_symmetry_Int_Tables_number 189
_symmetry_space_group_name_Hall 'P -6 -2'
_cell_length_a 9.7481
_cell_length_b 9.7481
_cell_length_c 3.5989
_cell_angle_alpha 90.00
_cell_angle_beta 90.00
_cell_angle_gamma 120.00
loop_
_atom_site_label
_atom_site_fract_x
_atom_site_fract_y
_atom_site_fract_z
Sm1 0.3333 0.6667 0.0000
Y1 0.0000 0.0000 0.5000
Y2 0.0000 0.3060 0.0000
Y3 0.0000 0.6414 0.5000
```

What did the third record say?
Structure and computed powder X-ray diffraction pattern of Sm2Y7 (a structure optimized by DFT (GGA-PBE); CuKα).

The 10 most intense peaks (10° ≤ 2θ ≤ 90°), by angle:
2theta	I (rel.)	index
26.9	13.8	1 0 1
30.9	69.4	1 1 1
31.8	100.0	3 0 0
32.7	27.2	2 0 1
37.7	22.5	2 1 1
44.9	20.9	2 2 1
53.7	18.6	3 2 1
56.1	19.2	4 1 1
56.7	15.5	3 3 0
61.1	32.2	3 0 2

Crystal structure
```
data_Sm2Y7
_symmetry_space_group_name_H-M 'P -6 2 m'
_symmetry_Int_Tables_number 189
_symmetry_space_group_name_Hall 'P -6 -2'
_cell_length_a 9.7481
_cell_length_b 9.7481
_cell_length_c 3.5989
_cell_angle_alpha 90.00
_cell_angle_beta 90.00
_cell_angle_gamma 120.00
loop_
_atom_site_label
_atom_site_fract_x
_atom_site_fract_y
_atom_site_fract_z
Sm1 0.3333 0.6667 0.0000
Y1 0.0000 0.0000 0.5000
Y2 0.0000 0.3060 0.0000
Y3 0.0000 0.6414 0.5000
```